1.
Starting from DFT lattice parameters and positions (PBE), the X-ray diffraction stick pattern of Nb4HN was calculated for Cu Kα (λ = 1.5418 Å).
Peak positions follow from Bragg's law for the DFT cell and can differ from measured ones.

Crystal structure
```
data_Nb4HN
_chemical_formula_sum 'Nb16 H4 N4'
_cell_length_a 7.125
_cell_length_b 7.125
_cell_length_c 6.493
_cell_angle_alpha 90.00
_cell_angle_beta 90.00
_cell_angle_gamma 90.00
_symmetry_space_group_name_H-M 'I 41 m d'
_symmetry_Int_Tables_number 109
_symmetry_space_group_name_Hall 'I 4bw -2'
loop_
_atom_site_label
_atom_site_type_symbol
_atom_site_fract_x
_atom_site_fract_y
_atom_site_fract_z
Nb1 Nb 0.000 0.210 0.000
Nb2 Nb 0.000 0.226 0.516
H1 H 0.000 0.000 0.208
N1 N 0.000 0.000 0.755
```

Peak list (10 most intense, 5° ≤ 2θ ≤ 70°, low angle first)
| (hkl) | two_theta | I (rel.) |
| --- | --- | --- |
| 1 1 2 | 32.8 | 4 |
| 2 2 0 | 35.6 | 49 |
| 2 0 2 | 37.5 | 100 |
| 3 1 0 | 40.0 | 13 |
| 3 1 2 | 49.2 | 4 |
| 4 0 0 | 51.3 | 17 |
| 0 0 4 | 56.7 | 8 |
| 3 3 2 | 62.2 | 8 |
| 4 2 2 | 65.2 | 26 |
| 2 2 4 | 68.8 | 13 |

2.
Starting from DFT lattice parameters and positions (PBE), the X-ray diffraction stick pattern of Nb4HN was calculated for Cu Kα (λ = 1.5418 Å).
Peak positions follow from Bragg's law for the DFT cell and can differ from measured ones.

Crystal structure
```
data_Nb4HN
_chemical_formula_sum 'Nb8 H2 N2'
_cell_length_a 6.233
_cell_length_b 8.767
_cell_length_c 2.981
_cell_angle_alpha 90.00
_cell_angle_beta 90.00
_cell_angle_gamma 90.00
_symmetry_space_group_name_H-M 'C m m m'
_symmetry_Int_Tables_number 65
_symmetry_space_group_name_Hall '-C 2 2'
loop_
_atom_site_label
_atom_site_type_symbol
_atom_site_fract_x
_atom_site_fract_y
_atom_site_fract_z
Nb1 Nb 0.000 0.250 0.000
Nb2 Nb 0.248 0.000 0.500
H1 H 0.000 0.500 0.000
N1 N 0.000 0.000 0.000
```

Peak list (8 most intense, 5° ≤ 2θ ≤ 70°, low angle first)
| (hkl) | two_theta | I (rel.) |
| --- | --- | --- |
| 1 1 0 | 17.5 | 1 |
| 2 2 0 | 35.3 | 100 |
| 0 2 1 | 36.4 | 92 |
| 0 4 0 | 41.2 | 38 |
| 2 0 1 | 41.9 | 71 |
| 4 0 0 | 59.3 | 12 |
| 2 4 1 | 60.2 | 47 |
| 0 0 2 | 62.3 | 11 |

Q: What is the formula in the first record?
A: Nb4HN